Entry 1:
Diffraction record for Dy2Y7Cd2. The X-ray diffraction stick pattern is simulated, not measured: it uses a DFT-relaxed cell (PBE, Alexandria) and Cu Ka.
Lines closer than 0.1° are merged.

a = 8.5613 Å, b = 9.8188 Å, c = 8.4666 Å
α = 90.00°, β = 109.67°, γ = 90.00°
Space group C2/m (No. 12)
Unique sites:
Dy (0.0000, 0.1827, 0.0000)
Y (0.0000, 0.5000, 0.5000)
Y (0.1418, 0.5000, 0.9177)
Y (0.1964, 0.1775, 0.6730)
Cd (0.1196, 0.0000, 0.3244)

Top 6 peaks for 10° ≤ 2θ ≤ 90°, most intense first:
| hkl | two_theta | I_rel |
| --- | --- | --- |
| 1 3 1 | 32.9 | 100 |
| 3 1 -1 | 32.7 | 84 |
| 2 2 -2 | 31.5 | 78 |
| 1 3 -2 | 34.8 | 72 |
| 2 2 1 | 33.5 | 63 |
| 1 1 -3 | 33.0 | 45 |

Entry 2:
Diffraction record for Dy2YCd. The X-ray diffraction stick pattern is simulated, not measured: it uses a DFT-relaxed cell (PBE, Alexandria) and Cu Ka.
Lines closer than 0.1° are merged.

a = 3.6079 Å, b = 12.6936 Å, c = 10.2450 Å
α = 90.00°, β = 90.00°, γ = 90.00°
Space group Cmcm (No. 63)
Unique sites:
Dy (0.0000, 0.1307, 0.0345)
Y (0.0000, 0.4621, 0.2500)
Cd (0.0000, 0.2549, 0.7500)

Top 6 peaks for 10° ≤ 2θ ≤ 90°, most intense first:
| hkl | two_theta | I_rel |
| --- | --- | --- |
| 0 4 2 | 33.2 | 100 |
| 1 1 2 | 31.1 | 97 |
| 1 3 0 | 32.6 | 48 |
| 1 3 1 | 33.8 | 44 |
| 1 1 3 | 36.9 | 40 |
| 0 0 4 | 35.0 | 36 |

Entry 3:
Diffraction record for DyY6Cd. The X-ray diffraction stick pattern is simulated, not measured: it uses a DFT-relaxed cell (PBE, Alexandria) and Cu Ka.
Lines closer than 0.1° are merged.

a = 9.2974 Å, b = 9.2974 Å, c = 10.0378 Å
α = 90.00°, β = 90.00°, γ = 120.00°
Space group R-3 (No. 148, hexagonal axes)
Unique sites:
Dy (0.0000, 0.0000, 0.0000)
Y (0.0246, 0.2572, 0.7166)
Cd (0.0000, 0.0000, 0.5000)

Top 6 peaks for 10° ≤ 2θ ≤ 90°, most intense first:
| hkl | two_theta | I_rel |
| --- | --- | --- |
| 3 -2 2 | 34.5 | 100 |
| 2 1 1 | 30.7 | 81 |
| 2 0 2 | 28.4 | 52 |
| 1 1 3 | 33.0 | 35 |
| 3 0 0 | 33.4 | 35 |
| 1 4 0 | 52.0 | 29 |

Entry 4:
Diffraction record for Dy4Y3Cd. The X-ray diffraction stick pattern is simulated, not measured: it uses a DFT-relaxed cell (PBE, Alexandria) and Cu Ka.
Lines closer than 0.1° are merged.

a = 6.1645 Å, b = 8.8217 Å, c = 9.9243 Å
α = 90.00°, β = 90.00°, γ = 90.00°
Space group Imm2 (No. 44)
Unique sites:
Dy (0.0000, 0.1741, 0.0000)
Dy (0.2481, 0.5000, 0.9899)
Y (0.0000, 0.3132, 0.3188)
Y (0.0000, 0.5000, 0.6647)
Cd (0.0000, 0.0000, 0.7461)

Top 6 peaks for 10° ≤ 2θ ≤ 90°, most intense first:
| hkl | two_theta | I_rel |
| --- | --- | --- |
| 2 1 1 | 32.1 | 100 |
| 0 3 1 | 31.7 | 77 |
| 1 2 1 | 26.4 | 69 |
| 2 2 2 | 40.0 | 69 |
| 1 0 3 | 30.7 | 67 |
| 1 3 2 | 38.5 | 58 |